Entry 1:
Computed powder diffractogram of Sr3Li2Ag2Hg4 for Cu Kα X-rays, from a crystal structure in Alexandria, relaxed with GGA-PBE.
Neutral-atom scattering factors, no anomalous dispersion.

Principal peaks in the range 5 to 70 degrees two-theta, in order of rising 2θ:
d (Å), I_rel
15.024, 36
3.756, 32
3.709, 81
3.247, 31
2.819, 95
2.463, 100
2.060, 38
1.855, 28
1.493, 29
1.482, 27

Atomic structure:
```
Sr3Li2Ag2Hg4
1.0
4.9254 0.0000 0.0000
-2.4627 4.2656 0.0000
0.0000 0.0000 15.0242
Sr Li Ag Hg
3 2 2 4
Direct
0.0000 0.0000 0.0000
0.0000 0.0000 0.2659
0.0000 0.0000 0.7341
0.3333 0.6667 0.5672
0.6667 0.3333 0.4328
0.3333 0.6667 0.1374
0.6667 0.3333 0.8626
0.3333 0.6667 0.3865
0.3333 0.6667 0.8649
0.6667 0.3333 0.1351
0.6667 0.3333 0.6135
```

---

Entry 2:
Computed powder diffractogram of AcTb3Tm4 for Cu Kα X-rays, from a crystal structure in Alexandria, relaxed with GGA-PBE.
Neutral-atom scattering factors, no anomalous dispersion.

Principal peaks in the range 5 to 70 degrees two-theta, in order of rising 2θ:
d (Å), I_rel
2.998, 63
2.934, 34
2.885, 55
2.841, 100
2.741, 18
2.476, 27
2.416, 37
1.657, 20
1.506, 16
1.499, 29

Atomic structure:
```
AcTb3Tm4
1.0
12.0616 0.0000 0.0000
0.0000 13.0540 0.0000
-1.0284 0.0000 3.3770
Ac Tb Tm
2 6 8
Direct
0.0000 0.0000 0.0000
0.5000 0.5000 0.0000
0.0000 0.2609 0.5000
0.0000 0.5000 0.0000
0.0000 0.7391 0.5000
0.5000 0.0000 0.0000
0.5000 0.2391 0.5000
0.5000 0.7609 0.5000
0.2415 0.3616 0.2415
0.2415 0.6384 0.2415
0.2585 0.1384 0.7585
0.2585 0.8616 0.7585
0.7415 0.1384 0.2415
0.7415 0.8616 0.2415
0.7585 0.3616 0.7585
0.7585 0.6384 0.7585
```

---

Entry 3:
Computed powder diffractogram of BaSiP6Ru2 for Cu Kα X-rays, from a crystal structure in Alexandria, relaxed with GGA-PBE.
Neutral-atom scattering factors, no anomalous dispersion.

Principal peaks in the range 5 to 70 degrees two-theta, in order of rising 2θ:
d (Å), I_rel
6.301, 100
3.603, 13
3.214, 53
2.863, 65
2.430, 13
2.250, 52
1.780, 17
1.607, 17
1.599, 19
1.557, 13

Atomic structure:
```
BaSiP6Ru2
1.0
3.2142 1.8557 6.3011
-3.2142 1.8557 6.3011
0.0000 -3.7114 6.3011
Ba Si P Ru
1 1 6 2
Direct
0.0000 0.0000 0.0000
0.5000 0.5000 0.5000
0.1178 0.5540 0.5481
0.4460 0.4519 0.8822
0.4519 0.8822 0.4460
0.5481 0.1178 0.5540
0.5540 0.5481 0.1178
0.8822 0.4460 0.4519
0.3145 0.3145 0.3145
0.6855 0.6855 0.6855
```

---

Entry 4:
Computed powder diffractogram of AlPb for Cu Kα X-rays, from a crystal structure in Alexandria, relaxed with GGA-PBE.
Neutral-atom scattering factors, no anomalous dispersion.

Principal peaks in the range 5 to 70 degrees two-theta, in order of rising 2θ:
d (Å), I_rel
6.497, 41
3.731, 100
2.708, 41
2.684, 60
2.669, 57
2.660, 39
2.645, 66
2.279, 29
1.744, 23
1.731, 22

Atomic structure:
```
AlPb
1.0
3.4196 0.0000 0.0000
0.0000 4.5578 0.0000
-1.5915 0.0000 6.4972
Al Pb
2 2
Direct
0.0578 0.2500 0.1166
0.9422 0.7500 0.8834
0.3314 0.2500 0.6689
0.6686 0.7500 0.3311
```

---

Entry 5:
Computed powder diffractogram of Li4Ti2Cu3Sb3O16 for Cu Kα X-rays, from a crystal structure in Alexandria, relaxed with GGA-PBE.
Neutral-atom scattering factors, no anomalous dispersion.

Principal peaks in the range 5 to 70 degrees two-theta, in order of rising 2θ:
d (Å), I_rel
4.933, 100
4.721, 29
4.575, 17
2.668, 15
2.567, 40
2.520, 20
2.360, 18
2.178, 16
2.095, 19
2.019, 23

Atomic structure:
```
Li4Ti2Cu3Sb3O16
1.0
5.4395 -3.0115 0.0000
5.4395 3.0115 0.0000
-0.7696 0.0000 9.8765
Li Ti Cu Sb O
4 2 3 3 16
Direct
0.0000 0.0000 0.0000
0.0210 0.0210 0.5288
0.3400 0.3400 0.4347
0.6957 0.6957 0.9270
0.3905 0.3905 0.9888
0.7064 0.7064 0.5309
0.2103 0.6939 0.7311
0.6939 0.2103 0.7311
0.8422 0.8422 0.2399
0.2036 0.2036 0.7451
0.3478 0.8436 0.2446
0.8436 0.3478 0.2446
0.0104 0.0104 0.3400
0.0356 0.0356 0.8165
0.0642 0.4930 0.8847
0.1607 0.1607 0.1376
0.2021 0.6874 0.1151
0.3576 0.3576 0.6423
0.3766 0.8835 0.6189
0.4930 0.0642 0.8847
0.5104 0.9712 0.3760
0.5142 0.5142 0.8807
0.5249 0.5249 0.3574
0.6744 0.6744 0.1383
0.6874 0.2021 0.1151
0.8594 0.8594 0.6047
0.8835 0.3766 0.6189
0.9712 0.5104 0.3760
```

---

Entry 6:
Computed powder diffractogram of Sm3Er8Tm4 for Cu Kα X-rays, from a crystal structure in Alexandria, relaxed with GGA-PBE.
Neutral-atom scattering factors, no anomalous dispersion.

Principal peaks in the range 5 to 70 degrees two-theta, in order of rising 2θ:
d (Å), I_rel
3.191, 37
2.880, 100
2.870, 49
2.791, 29
2.301, 17
2.138, 47
2.134, 23
1.665, 9
1.657, 10
1.395, 31

Atomic structure:
```
Sm3Er8Tm4
1.0
6.6263 -6.3826 0.0000
6.6263 6.3826 0.0000
-3.3266 0.0000 5.7684
Sm Er Tm
3 8 4
Direct
0.0000 0.0000 0.0000
0.0000 0.5000 0.0000
0.5000 0.0000 0.0000
0.1401 0.8599 0.5000
0.2310 0.2310 0.9506
0.2414 0.2414 0.4817
0.2493 0.7507 0.0000
0.7507 0.2493 0.0000
0.7586 0.7586 0.5183
0.7690 0.7690 0.0494
0.8599 0.1401 0.5000
0.0000 0.5000 0.5000
0.5000 0.0000 0.5000
0.5000 0.5000 0.0000
0.5000 0.5000 0.5000
```